Entry 1:
Structure and computed X-ray diffraction stick pattern of HoBi2BrO4 (a DFT-relaxed cell (GGA-PBE, the Materials Project); Cu Kα (λ = 1.5418 Å)).
Peak positions follow from Bragg's law for the DFT cell and can differ from measured ones.

Atomic structure:
Lattice parameters (Å, degrees): 3.906 3.906 9.340 90.00 90.00 90.00
Space group P4/mmm (No. 123)
Unique sites:
1 Ho 0.000 0.000 0.000
2 Bi 0.500 0.500 0.268
3 Br 0.000 0.000 0.500
4 O 0.000 0.500 0.147

Top 8 peaks for 10 to 80 degrees two-theta, by angle:
- hkl 1 0 2, 2θ = 29.8°, I = 100
- hkl 1 1 0, 2θ = 32.4°, I = 33
- hkl 0 0 4, 2θ = 38.6°, I = 10
- hkl 2 0 0, 2θ = 46.5°, I = 18
- hkl 1 1 4, 2θ = 51.2°, I = 24
- hkl 2 1 2, 2θ = 56.2°, I = 34
- hkl 2 0 4, 2θ = 61.9°, I = 10
- hkl 1 0 6, 2θ = 64.4°, I = 9

Entry 2:
Structure and computed X-ray diffraction stick pattern of InBi2S4Br (a DFT-relaxed cell (GGA-PBE, the Materials Project); Cu Kα (λ = 1.5418 Å)).
Peak positions follow from Bragg's law for the DFT cell and can differ from measured ones.

Atomic structure:
Lattice parameters (Å, degrees): 12.772 3.948 9.032 90.00 116.08 90.00
Space group C2/m (No. 12)
Unique sites:
1 In 0.000 0.000 0.000
2 Bi 0.209 0.000 0.743
3 S 0.122 0.500 0.944
4 S 0.164 0.000 0.304
5 Br 0.000 0.500 0.500

Top 8 peaks for 10 to 80 degrees two-theta, by angle:
- hkl 2 0 -2, 2θ = 20.5°, I = 100
- hkl 1 1 1, 2θ = 27.7°, I = 77
- hkl 3 1 -1, 2θ = 30.9°, I = 97
- hkl 2 0 2, 2θ = 32.1°, I = 52
- hkl 3 1 -2, 2θ = 33.1°, I = 42
- hkl 1 1 -3, 2θ = 38.2°, I = 61
- hkl 5 1 -3, 2θ = 45.3°, I = 32
- hkl 3 1 -5, 2θ = 56.0°, I = 25

Entry 3:
Structure and computed X-ray diffraction stick pattern of InBi2Se4Br (a DFT-relaxed cell (GGA-PBE, the Materials Project); Cu Kα (λ = 1.5418 Å)).
Peak positions follow from Bragg's law for the DFT cell and can differ from measured ones.

Atomic structure:
Lattice parameters (Å, degrees): 21.259 4.172 12.349 90.00 119.05 90.00
Space group C2/m (No. 12)
Unique sites:
1 In 0.163 0.000 0.437
2 Bi 0.050 0.500 0.771
3 Bi 0.203 0.000 0.097
4 Se 0.039 0.000 0.222
5 Se 0.096 0.500 0.023
6 Se 0.178 0.000 0.856
7 Se 0.215 0.500 0.348
8 Br 0.102 0.500 0.530

Top 8 peaks for 10 to 80 degrees two-theta, by angle:
- hkl 2 0 -2, 2θ = 14.4°, I = 84
- hkl 3 1 0, 2θ = 25.7°, I = 62
- hkl 2 0 -4, 2θ = 29.6°, I = 82
- hkl 5 1 -1, 2θ = 30.2°, I = 87
- hkl 5 1 -2, 2θ = 30.4°, I = 100
- hkl 5 1 0, 2θ = 32.3°, I = 63
- hkl 5 1 -3, 2θ = 32.8°, I = 95
- hkl 0 2 0, 2θ = 43.4°, I = 66

Entry 4:
Structure and computed X-ray diffraction stick pattern of K2NaBiBr6 (a DFT-relaxed cell (GGA-PBE, the Materials Project); Cu Kα (λ = 1.5418 Å)).
Peak positions follow from Bragg's law for the DFT cell and can differ from measured ones.

Atomic structure:
Lattice parameters (Å, degrees): 11.498 11.498 11.498 90.00 90.00 90.00
Space group Fm-3m (No. 225)
Unique sites:
1 K 0.250 0.250 0.250
2 Na 0.000 0.000 0.000
3 Bi 0.000 0.000 0.500
4 Br 0.000 0.000 0.251

Top 8 peaks for 10 to 80 degrees two-theta, by angle:
- hkl 1 1 1, 2θ = 13.3°, I = 50
- hkl 2 0 0, 2θ = 15.4°, I = 79
- hkl 3 1 1, 2θ = 25.7°, I = 32
- hkl 2 2 2, 2θ = 26.9°, I = 37
- hkl 4 0 0, 2θ = 31.1°, I = 100
- hkl 4 2 0, 2θ = 34.9°, I = 45
- hkl 4 4 0, 2θ = 44.6°, I = 72
- hkl 8 4 0, 2θ = 73.7°, I = 32